This entry pairs a crystal structure of Eu2ZrNbO6 with its simulated XRD peak list. Radiation: λ = 1.5418 Å (Cu Kα). Structure: a cell relaxed with GGA-PBE.

Most intense lines, 2θ = 10–90°, low angle first:
21.48°, rel. 3; 30.57°, rel. 100; 37.67°, rel. 8; 43.77°, rel. 30; 49.26°, rel. 2; 54.33°, rel. 40; 63.63°, rel. 19; 68.00°, rel. 1; 72.23°, rel. 17; 76.37°, rel. 3; 80.43°, rel. 6; 88.44°, rel. 21

Structure:
Unit cell a=5.849 b=5.849 c=5.849 alpha=60.00 beta=60.00 gamma=60.00
Fractional coordinates of all 10 atoms:
Eu (0.250, 0.250, 0.250)
Eu (0.750, 0.750, 0.750)
Zr (0.000, 0.000, 0.000)
Nb (0.500, 0.500, 0.500)
O (0.254, 0.254, 0.746)
O (0.254, 0.746, 0.254)
O (0.254, 0.746, 0.746)
O (0.746, 0.254, 0.254)
O (0.746, 0.254, 0.746)
O (0.746, 0.746, 0.254)